(1)
Diffraction record for GdBH4CO7. The PXRD pattern is theoretical, not measured: it uses the GGA-PBE geometry in OQMD and Cu Ka.

Atomic structure:
a = 6.0116 Å, b = 8.4512 Å, c = 9.6106 Å
α = 90.00°, β = 90.00°, γ = 90.00°
Space group Pbcm (No. 57)
Asymmetric unit:
Gd: 0.0108 0.2500 0.0000 [4 per cell]
B: 0.4678 0.7500 0.0000 [4 per cell]
H: 0.3465 0.1920 0.1651 [8 per cell]
H: 0.3551 0.5460 0.5921 [8 per cell]
C: 0.0938 0.0502 0.7500 [4 per cell]
O: 0.0793 0.5161 0.1307 [8 per cell]
O: 0.1177 0.2057 0.7500 [4 per cell]
O: 0.3274 0.6630 0.5950 [8 per cell]
O: 0.3804 0.1400 0.0767 [8 per cell]

Peak list (10 most intense, 10° ≤ 2θ ≤ 90°, sorted by position)
2θ (°)	d/Å	Rel. int.
14.74	6.012	100.0
18.46	4.805	71.5
21.02	4.226	47.8
23.70	3.754	27.6
25.77	3.457	26.1
28.12	3.173	53.2
31.89	2.806	54.0
41.38	2.182	34.7
45.50	1.994	25.2
46.00	1.973	32.9



(2)
Diffraction record for Tb2Al5Hg. The PXRD pattern is theoretical, not measured: it uses the GGA-PBE geometry in OQMD and Cu Ka.

Atomic structure:
a = 4.6596 Å, b = 6.4831 Å, c = 10.8711 Å
α = 90.00°, β = 90.00°, γ = 90.00°
Space group Amm2 (No. 38)
Asymmetric unit:
Tb: 0.0000 0.0000 0.0000 [2 per cell]
Tb: 0.5000 0.0000 0.3189 [2 per cell]
Al: 0.0000 0.0000 0.5073 [2 per cell]
Al: 0.0000 0.2159 0.7282 [4 per cell]
Al: 0.5000 0.2180 0.5805 [4 per cell]
Hg: 0.5000 0.0000 0.8197 [2 per cell]

Peak list (10 most intense, 10° ≤ 2θ ≤ 90°, sorted by position)
2θ (°)	d/Å	Rel. int.
15.92	5.568	26.1
16.31	5.436	27.1
25.17	3.538	72.4
27.52	3.242	33.3
32.15	2.784	24.8
32.96	2.718	17.7
37.64	2.390	100.0
38.34	2.348	40.0
38.65	2.330	29.6
47.84	1.901	17.1



(3)
Diffraction record for Os2PbO6. The PXRD pattern is theoretical, not measured: it uses the GGA-PBE geometry in OQMD and Cu Ka.

Atomic structure:
a = 5.3027 Å, b = 5.3027 Å, c = 5.0454 Å
α = 90.00°, β = 90.00°, γ = 120.00°
Space group P-31m (No. 162)
Asymmetric unit:
Os: 0.3333 0.6667 0.0000 [2 per cell]
Pb: 0.0000 0.0000 0.5000 [1 per cell]
O: 0.0000 0.3798 0.7933 [6 per cell]

Peak list (10 most intense, 10° ≤ 2θ ≤ 90°, sorted by position)
2θ (°)	d/Å	Rel. int.
17.58	5.045	11.1
26.24	3.396	100.0
33.81	2.651	47.2
35.59	2.523	11.8
43.29	2.090	25.1
49.90	1.828	43.0
56.03	1.641	25.1
58.44	1.579	10.5
60.48	1.531	13.1
72.18	1.309	11.0



(4)
Diffraction record for Sr2Pr2Ni3C5. The PXRD pattern is theoretical, not measured: it uses the GGA-PBE geometry in OQMD and Cu Ka.

Atomic structure:
a = 11.7634 Å, b = 3.8592 Å, c = 9.4792 Å
α = 90.00°, β = 110.29°, γ = 90.00°
Space group C2/m (No. 12)
Asymmetric unit:
Sr: 0.2418 0.0000 0.1640 [4 per cell]
Pr: 0.1021 0.5000 0.4057 [4 per cell]
Ni: 0.0000 0.5000 0.0000 [2 per cell]
Ni: 0.0385 0.0000 0.8274 [4 per cell]
C: 0.0000 0.0000 0.0000 [2 per cell]
C: 0.1013 0.0000 0.6712 [4 per cell]
C: 0.1900 0.0000 0.6145 [4 per cell]

Peak list (10 most intense, 10° ≤ 2θ ≤ 90°, sorted by position)
2θ (°)	d/Å	Rel. int.
28.83	3.097	43.3
29.87	2.991	36.0
30.42	2.939	30.0
31.69	2.823	31.9
32.60	2.747	82.2
33.54	2.672	100.0
36.84	2.440	38.9
37.33	2.409	24.6
39.41	2.286	30.2
47.10	1.930	31.9